(1)
Er6Zn23: calculated X-ray diffraction stick pattern (Cu Kα (λ = 1.5418 Å)), based on a crystal structure in Alexandria, relaxed with GGA-PBE.

Peak list (8 most intense, 5 to 70 degrees two-theta, in order of rising 2θ)
24.4 deg, d = 3.646 Å, rel. 15
30.9 deg, d = 2.897 Å, rel. 19
34.8 deg, d = 2.578 Å, rel. 28
37.0 deg, d = 2.431 Å, rel. 79
40.4 deg, d = 2.233 Å, rel. 100
43.0 deg, d = 2.105 Å, rel. 17
60.0 deg, d = 1.543 Å, rel. 14
62.4 deg, d = 1.488 Å, rel. 21

Crystal structure
abc: 8.9306 8.9306 8.9306
angles: 60.00 60.00 60.00
Sites, in units of the cell vectors:
Er 0.2067 0.2067 0.7933
Er 0.2067 0.7933 0.2067
Er 0.2067 0.7933 0.7933
Er 0.7933 0.2067 0.2067
Er 0.7933 0.2067 0.7933
Er 0.7933 0.7933 0.2067
Zn 0.0000 0.0000 0.5000
Zn 0.0000 0.5000 0.0000
Zn 0.0000 0.5000 0.5000
Zn 0.1315 0.6228 0.6228
Zn 0.1708 0.1708 0.1708
Zn 0.1708 0.1708 0.4877
Zn 0.1708 0.4877 0.1708
Zn 0.3772 0.3772 0.3772
Zn 0.3772 0.3772 0.8685
Zn 0.3772 0.8685 0.3772
Zn 0.4877 0.1708 0.1708
Zn 0.5000 0.0000 0.0000
Zn 0.5000 0.0000 0.5000
Zn 0.5000 0.5000 0.0000
Zn 0.5000 0.5000 0.5000
Zn 0.5123 0.8292 0.8292
Zn 0.6228 0.1315 0.6228
Zn 0.6228 0.6228 0.1315
Zn 0.6228 0.6228 0.6228
Zn 0.8292 0.5123 0.8292
Zn 0.8292 0.8292 0.5123
Zn 0.8292 0.8292 0.8292
Zn 0.8685 0.3772 0.3772

(2)
Er3Zn2: calculated X-ray diffraction stick pattern (Cu Kα (λ = 1.5418 Å)), based on a crystal structure in Alexandria, relaxed with GGA-PBE.

Peak list (8 most intense, 5 to 70 degrees two-theta, in order of rising 2θ)
25.2 deg, d = 3.531 Å, rel. 14
31.5 deg, d = 2.843 Å, rel. 16
34.5 deg, d = 2.598 Å, rel. 100
36.0 deg, d = 2.497 Å, rel. 66
38.0 deg, d = 2.370 Å, rel. 21
51.8 deg, d = 1.765 Å, rel. 23
63.7 deg, d = 1.460 Å, rel. 33
65.3 deg, d = 1.430 Å, rel. 12

Crystal structure
abc: 3.5308 3.5308 19.1824
angles: 90.00 90.00 90.00
Sites, in units of the cell vectors:
Er 0.0000 0.0000 0.0000
Er 0.0000 0.0000 0.1842
Er 0.0000 0.0000 0.3687
Er 0.0000 0.0000 0.6313
Er 0.0000 0.0000 0.8158
Er 0.5000 0.5000 0.5000
Zn 0.5000 0.5000 0.0931
Zn 0.5000 0.5000 0.2765
Zn 0.5000 0.5000 0.7235
Zn 0.5000 0.5000 0.9069

Please write out number 2 again, unchanged.
Er3Zn2: calculated X-ray diffraction stick pattern (Cu Kα (λ = 1.5418 Å)), based on a crystal structure in Alexandria, relaxed with GGA-PBE.

Peak list (8 most intense, 5 to 70 degrees two-theta, in order of rising 2θ)
25.2 deg, d = 3.531 Å, rel. 14
31.5 deg, d = 2.843 Å, rel. 16
34.5 deg, d = 2.598 Å, rel. 100
36.0 deg, d = 2.497 Å, rel. 66
38.0 deg, d = 2.370 Å, rel. 21
51.8 deg, d = 1.765 Å, rel. 23
63.7 deg, d = 1.460 Å, rel. 33
65.3 deg, d = 1.430 Å, rel. 12

Crystal structure
abc: 3.5308 3.5308 19.1824
angles: 90.00 90.00 90.00
Sites, in units of the cell vectors:
Er 0.0000 0.0000 0.0000
Er 0.0000 0.0000 0.1842
Er 0.0000 0.0000 0.3687
Er 0.0000 0.0000 0.6313
Er 0.0000 0.0000 0.8158
Er 0.5000 0.5000 0.5000
Zn 0.5000 0.5000 0.0931
Zn 0.5000 0.5000 0.2765
Zn 0.5000 0.5000 0.7235
Zn 0.5000 0.5000 0.9069